Starting from a crystal structure in Alexandria, relaxed with GGA-PBE, the powder X-ray diffraction pattern of Zn8B4H3O15F was calculated for CuKα.
Lines closer than 0.1° are merged.

Atomic structure:
a b c (Å): 5.006 8.461 10.094
angles (deg): 77.12 89.86 89.92
Fractional positions:
Zn  0.000  0.000  0.000
Zn  0.001  0.509  0.498
Zn  0.012  0.881  0.353
Zn  0.018  0.378  0.869
Zn  0.496  0.938  0.815
Zn  0.499  0.439  0.317
Zn  0.511  0.064  0.457
Zn  0.513  0.564  0.964
B  0.007  0.734  0.865
B  0.008  0.236  0.364
B  0.510  0.709  0.451
B  0.512  0.205  0.956
H  0.329  0.175  0.648
H  0.354  0.683  0.152
H  0.844  0.760  0.167
O  0.283  0.240  0.347
O  0.283  0.736  0.855
O  0.374  0.065  0.953
O  0.375  0.855  0.430
O  0.376  0.566  0.452
O  0.378  0.350  0.947
O  0.459  0.091  0.642
O  0.506  0.610  0.148
O  0.785  0.707  0.468
O  0.788  0.201  0.965
O  0.870  0.876  0.864
O  0.871  0.375  0.373
O  0.871  0.589  0.880
O  0.872  0.091  0.375
O  0.998  0.831  0.170
F  0.046  0.358  0.677

Principal peaks in the range 2θ from 10° to 90°, by angle:
- 18.0°, 4.920 Å, rel. 100, hkl 0 0 2
- 21.6°, 4.113 Å, rel. 67, hkl 1 1 1
- 21.7°, 4.097 Å, rel. 40, hkl -1 1 1
- 26.9°, 3.312 Å, rel. 14, hkl 0 1 3
- 31.3°, 2.862 Å, rel. 21, hkl 0 2 -2
- 32.4°, 2.762 Å, rel. 35, hkl -1 1 3
- 35.9°, 2.504 Å, rel. 31, hkl 2 0 0
- 36.4°, 2.469 Å, rel. 23, hkl 1 -1 3
- 36.6°, 2.456 Å, rel. 15, hkl 1 3 1
- 38.2°, 2.356 Å, rel. 15, hkl 0 2 4